Record 1
SmMg2Mn3S8: computed X-ray diffraction stick pattern (Cu Kα X-rays), based on a structure optimized by DFT (PBE).
Peak positions follow from Bragg's law for the DFT cell and can differ from measured ones.

Atomic structure:
```
14
Lattice="3.7078 2.1407 6.2178 -3.7078 2.1407 6.2178 0.0000 -4.2814 6.2178" Properties=species:S:1:pos:R:3 pbc="T T T"
Sm 0.0000 0.0000 0.0000
Mg 0.0000 0.0000 6.9803
Mg 0.0000 0.0000 11.6731
Mn -3.7078 0.0000 9.3267
Mn -1.8539 1.0704 3.1089
Mn 1.8539 1.0704 3.1089
S -1.9283 -1.1133 10.6002
S 0.0000 0.0000 4.4833
S 0.0000 -2.2267 8.0532
S -1.9284 1.1133 8.0532
S 1.9284 -1.1133 10.6003
S 0.0000 2.2267 10.6003
S 0.0000 0.0000 14.1702
S 1.9284 1.1133 8.0532
```

Largest 8 diffraction maxima, by intensity, 10 to 80 degrees two-theta:
33.9°, I = 100; 14.6°, I = 94; 28.0°, I = 78; 49.1°, I = 49; 48.2°, I = 43; 27.7°, I = 31; 44.5°, I = 22; 44.8°, I = 22

Record 2
KTlCl2: computed X-ray diffraction stick pattern (Cu Kα X-rays), based on a structure optimized by DFT (PBE).
Peak positions follow from Bragg's law for the DFT cell and can differ from measured ones.

Atomic structure:
```
16
Lattice="-4.5730 4.5730 6.4583 4.5730 -4.5730 6.4583 4.5730 4.5730 -6.4583" Properties=species:S:1:pos:R:3 pbc="T T T"
K 0.0000 0.0000 0.0000
K 2.2865 2.2865 -3.2292
K 2.2865 -2.2865 3.2292
K 0.0000 4.5730 0.0000
Tl 4.5730 0.0000 0.0000
Tl -2.2865 2.2865 3.2292
Tl 0.0000 0.0000 6.4583
Tl 2.2865 2.2865 3.2292
Cl 4.5730 4.5330 -3.2616
Cl 2.2465 2.2865 -0.0324
Cl 2.3265 -2.2865 6.4260
Cl 4.5730 -0.0400 3.2616
Cl 0.0000 4.6131 3.1968
Cl 2.2465 6.8596 0.0324
Cl 2.3265 2.2865 6.4907
Cl 0.0000 0.0400 9.7199
```

Largest 8 diffraction maxima, by intensity, 10 to 80 degrees two-theta:
27.6°, I = 100; 39.4°, I = 75; 11.9°, I = 53; 23.8°, I = 52; 22.8°, I = 39; 64.5°, I = 33; 46.6°, I = 29; 48.8°, I = 26

Record 3
Dy2Fe3Ni: computed X-ray diffraction stick pattern (Cu Kα X-rays), based on a structure optimized by DFT (PBE).
Peak positions follow from Bragg's law for the DFT cell and can differ from measured ones.

Atomic structure:
```
6
Lattice="2.5370 1.4647 4.3030 -2.5370 1.4647 4.3030 0.0000 -2.9295 4.3030" Properties=species:S:1:pos:R:3 pbc="T T T"
Dy 0.0000 0.0000 1.6087
Dy 0.0000 0.0000 11.3004
Fe -1.2685 -0.7324 4.3030
Fe -1.2685 0.7324 8.6060
Fe 0.0000 1.4647 4.3030
Ni 0.0000 0.0000 6.4545
```

Largest 8 diffraction maxima, by intensity, 10 to 80 degrees two-theta:
41.3°, I = 100; 35.4°, I = 67; 34.5°, I = 67; 40.5°, I = 54; 41.7°, I = 46; 67.0°, I = 24; 62.9°, I = 24; 72.7°, I = 23

Record 4
Pr2EuS4: computed X-ray diffraction stick pattern (Cu Kα X-rays), based on a structure optimized by DFT (PBE).
Peak positions follow from Bragg's law for the DFT cell and can differ from measured ones.

Atomic structure:
```
14
Lattice="-4.3410 4.3410 4.3354 4.3410 -4.3410 4.3354 4.3410 4.3410 -4.3354" Properties=species:S:1:pos:R:3 pbc="T T T"
Pr 2.1705 1.1076 -1.0839
Pr 3.2334 -2.1705 5.4193
Pr 2.1705 3.2334 3.2516
Pr 1.1076 6.5115 1.0839
Eu 4.3410 0.0000 2.1677
Eu 0.0000 0.0000 4.3354
S 2.8213 3.6882 -2.6373
S 4.9938 1.5197 -0.4696
S 1.5197 0.6528 1.6981
S 1.5197 3.6882 0.4696
S 2.8213 0.6528 4.8050
S 4.9938 2.8213 2.6373
S -0.6528 2.8213 3.8659
S -0.6528 1.5197 6.9727
```

Largest 8 diffraction maxima, by intensity, 10 to 80 degrees two-theta:
25.1°, I = 100; 32.6°, I = 94; 38.8°, I = 58; 46.8°, I = 40; 66.4°, I = 37; 53.9°, I = 31; 49.2°, I = 26; 70.3°, I = 15